The following is a theoretical powder diffraction line list of Ca4SbTe2Cl. It was derived from the PBE geometry in Alexandria, using Cu Kα.

Atomic structure:
```
data_Ca4SbTe2Cl
_symmetry_space_group_name_H-M 'F m m 2'
_symmetry_Int_Tables_number 42
_symmetry_space_group_name_Hall 'F 2 -2'
_cell_length_a 8.891
_cell_length_b 12.797
_cell_length_c 8.890
_cell_angle_alpha 90.00
_cell_angle_beta 90.00
_cell_angle_gamma 90.00
loop_
_atom_site_label
_atom_site_fract_x
_atom_site_fract_y
_atom_site_fract_z
_atom_site_occupancy
Ca1 0.000 0.241 0.000 1
Ca2 0.250 0.000 0.249 1
Sb1 0.000 0.000 0.999 1
Te1 0.250 0.250 0.250 1
Cl1 0.000 0.000 0.499 1
```

Principal peaks in the range 10 to 90 degrees two-theta, sorted by position:
| Position (°2θ) | I (rel.) | hkl |
| --- | --- | --- |
| 24.4 | 48 | 2 2 0 |
| 27.9 | 52 | 0 4 0 |
| 28.4 | 100 | 2 0 2 |
| 40.2 | 75 | 2 4 2 |
| 40.6 | 37 | 4 0 0 |
| 50.0 | 39 | 4 4 0 |

---

The following is a theoretical powder diffraction line list of Ca2TlSbCl8. It was derived from the PBE geometry in Alexandria, using Cu Kα.

Atomic structure:
```
data_Ca2TlSbCl8
_symmetry_space_group_name_H-M 'P 1 2/m 1'
_symmetry_Int_Tables_number 10
_symmetry_space_group_name_Hall '-P 2y'
_cell_length_a 6.428
_cell_length_b 8.709
_cell_length_c 6.677
_cell_angle_alpha 90.00
_cell_angle_beta 90.24
_cell_angle_gamma 90.00
loop_
_atom_site_label
_atom_site_fract_x
_atom_site_fract_y
_atom_site_fract_z
_atom_site_occupancy
Ca1 0.000 0.247 0.000 1
Tl1 0.500 0.000 0.500 1
Sb1 0.500 0.500 0.500 1
Cl1 0.221 0.000 0.871 1
Cl2 0.236 0.500 0.826 1
Cl3 0.259 0.288 0.331 1
```

Principal peaks in the range 10 to 90 degrees two-theta, sorted by position:
| Position (°2θ) | I (rel.) | hkl |
| --- | --- | --- |
| 13.3 | 29 | 0 0 1 |
| 19.2 | 100 | 1 0 -1 |
| 24.7 | 43 | 1 2 0 |
| 28.2 | 49 | 1 2 1 |
| 36.7 | 37 | 1 2 -2 |
| 37.3 | 61 | 2 2 -1 |

---

Repeat the first record exactly.
The following is a theoretical powder diffraction line list of Ca4SbTe2Cl. It was derived from the PBE geometry in Alexandria, using Cu Kα.

Atomic structure:
```
data_Ca4SbTe2Cl
_symmetry_space_group_name_H-M 'F m m 2'
_symmetry_Int_Tables_number 42
_symmetry_space_group_name_Hall 'F 2 -2'
_cell_length_a 8.891
_cell_length_b 12.797
_cell_length_c 8.890
_cell_angle_alpha 90.00
_cell_angle_beta 90.00
_cell_angle_gamma 90.00
loop_
_atom_site_label
_atom_site_fract_x
_atom_site_fract_y
_atom_site_fract_z
_atom_site_occupancy
Ca1 0.000 0.241 0.000 1
Ca2 0.250 0.000 0.249 1
Sb1 0.000 0.000 0.999 1
Te1 0.250 0.250 0.250 1
Cl1 0.000 0.000 0.499 1
```

Principal peaks in the range 10 to 90 degrees two-theta, sorted by position:
| Position (°2θ) | I (rel.) | hkl |
| --- | --- | --- |
| 24.4 | 48 | 2 2 0 |
| 27.9 | 52 | 0 4 0 |
| 28.4 | 100 | 2 0 2 |
| 40.2 | 75 | 2 4 2 |
| 40.6 | 37 | 4 0 0 |
| 50.0 | 39 | 4 4 0 |